Computed X-ray diffraction stick pattern of K3Mo2F9 for Cu Kα (weighted mean of Kα1 and Kα2), from DFT lattice parameters and positions (PBE+U).
No peak broadening, texture or thermal motion is included.

Top 10 peaks for 2θ = 10–90°, low angle first:
hkl  2θ (°)  intensity
1 1 0  16.6  100
1 0 4  26.5  33
3 0 0  29.0  61
0 2 4  31.5  16
2 1 4  35.8  25
2 2 3  38.6  52
1 1 6  41.2  20
1 3 4  43.3  22
2 2 6  51.1  27
6 0 0  60.1  21

Structure:
Lattice parameters (Å, degrees): 10.6695 10.6695 14.4315 90.00 90.00 120.00
Space group R-3c (No. 167, hexagonal axes)
Inequivalent atoms, fractional coordinates:
K1 0.0000 0.3472 0.2500 (multiplicity 18)
Mo1 0.0000 0.0000 0.1464 (multiplicity 12)
F1 0.0000 0.1499 0.7500 (multiplicity 18)
F2 0.0056 0.1744 0.4170 (multiplicity 36)